Entry 1:
Calculated X-ray powder pattern
Compound: KAlTl
Radiation: Cu Kα, 1.54184 Å
Structure: the GGA-PBE geometry in Alexandria
Lines closer than 0.1° are merged.

Atomic structure:
Unit cell a=5.0839 b=4.6990 c=8.3791 alpha=90.00 beta=92.86 gamma=90.00
Positions (direct):
K 0.0000 0.0000 0.0000
K 0.4836 0.5000 0.6887
Al 0.4725 0.0000 0.3368
Al 0.5497 0.5000 0.1673
Tl 0.0585 0.5000 0.3201
Tl 0.9518 0.0000 0.5556

Most intense lines, 2θ = 5–70°, low angle first:
| two_theta | I/Imax |
| --- | --- |
| 10.57 | 100 |
| 17.47 | 46 |
| 20.91 | 26 |
| 21.69 | 26 |
| 27.64 | 41 |
| 28.56 | 46 |
| 33.10 | 39 |
| 34.25 | 31 |
| 37.51 | 22 |
| 42.37 | 23 |



Entry 2:
Calculated X-ray powder pattern
Compound: K2Y2Al
Radiation: Cu Kα, 1.54184 Å
Structure: the GGA-PBE geometry in Alexandria
Lines closer than 0.1° are merged.

Atomic structure:
Unit cell a=7.8358 b=7.8358 c=6.9142 alpha=90.00 beta=90.00 gamma=90.00
Positions (direct):
K 0.1820 0.3180 0.0000
K 0.3180 0.8180 0.0000
K 0.6820 0.1820 0.0000
K 0.8180 0.6820 0.0000
Y 0.1595 0.6595 0.5000
Y 0.3405 0.1595 0.5000
Y 0.6595 0.8405 0.5000
Y 0.8405 0.3405 0.5000
Al 0.0000 0.0000 0.5000
Al 0.5000 0.5000 0.5000

Most intense lines, 2θ = 5–70°, low angle first:
| two_theta | I/Imax |
| --- | --- |
| 12.80 | 35 |
| 22.70 | 13 |
| 25.42 | 12 |
| 25.77 | 37 |
| 28.56 | 100 |
| 36.25 | 17 |
| 38.60 | 10 |
| 45.01 | 17 |
| 47.20 | 23 |
| 49.76 | 19 |



Entry 3:
Calculated X-ray powder pattern
Compound: K2Al2Zn
Radiation: Cu Kα, 1.54184 Å
Structure: the GGA-PBE geometry in Alexandria
Lines closer than 0.1° are merged.

Atomic structure:
Unit cell a=3.8434 b=3.8434 c=22.4256 alpha=90.00 beta=90.00 gamma=90.00
Positions (direct):
K 0.0000 0.0000 0.1078
K 0.0000 0.0000 0.8922
K 0.5000 0.5000 0.3922
K 0.5000 0.5000 0.6078
Al 0.0000 0.5000 0.2500
Al 0.0000 0.5000 0.7500
Al 0.5000 0.0000 0.2500
Al 0.5000 0.0000 0.7500
Zn 0.0000 0.0000 0.5000
Zn 0.5000 0.5000 0.0000

Most intense lines, 2θ = 5–70°, low angle first:
| two_theta | I/Imax |
| --- | --- |
| 7.88 | 21 |
| 26.07 | 78 |
| 30.63 | 100 |
| 31.93 | 31 |
| 33.94 | 68 |
| 47.30 | 26 |
| 52.94 | 33 |
| 54.80 | 18 |
| 57.41 | 29 |
| 58.21 | 20 |



Entry 4:
Calculated X-ray powder pattern
Compound: La8Al
Radiation: Cu Kα, 1.54184 Å
Structure: the GGA-PBE geometry in Alexandria
Lines closer than 0.1° are merged.

Atomic structure:
Unit cell a=8.1575 b=8.1575 c=8.1575 alpha=95.56 beta=95.56 gamma=143.73
Positions (direct):
La 0.0000 0.3153 0.3153
La 0.0000 0.6847 0.6847
La 0.3153 0.0000 0.3153
La 0.3380 0.3380 0.6761
La 0.3380 0.6620 0.0000
La 0.6620 0.3380 0.0000
La 0.6620 0.6620 0.3239
La 0.6847 0.0000 0.6847
Al 0.0000 0.0000 0.0000

Most intense lines, 2θ = 5–70°, low angle first:
| two_theta | I/Imax |
| --- | --- |
| 22.94 | 5 |
| 25.25 | 5 |
| 30.13 | 100 |
| 34.71 | 33 |
| 35.35 | 17 |
| 49.91 | 11 |
| 50.38 | 23 |
| 59.41 | 25 |
| 60.25 | 14 |
| 62.64 | 11 |



Entry 5:
Calculated X-ray powder pattern
Compound: La16Al13
Radiation: Cu Kα, 1.54184 Å
Structure: the GGA-PBE geometry in Alexandria
Lines closer than 0.1° are merged.

Atomic structure:
Unit cell a=9.1480 b=9.1480 c=11.2043 alpha=90.00 beta=90.00 gamma=120.00
Positions (direct):
La 0.0000 0.2282 0.0000
La 0.0000 0.3867 0.3369
La 0.0000 0.3867 0.6631
La 0.0000 0.7389 0.5000
La 0.2282 0.0000 0.0000
La 0.2611 0.2611 0.5000
La 0.3333 0.6667 0.1630
La 0.3333 0.6667 0.8370
La 0.3867 0.0000 0.3369
La 0.3867 0.0000 0.6631
La 0.6133 0.6133 0.3369
La 0.6133 0.6133 0.6631
La 0.6667 0.3333 0.1630
La 0.6667 0.3333 0.8370
La 0.7389 0.0000 0.5000
La 0.7718 0.7718 0.0000
Al 0.0000 0.0000 0.2642
Al 0.0000 0.0000 0.7358
Al 0.0000 0.5785 0.0000
Al 0.0000 0.7140 0.2106
Al 0.0000 0.7140 0.7894
Al 0.2860 0.2860 0.2106
Al 0.2860 0.2860 0.7894
Al 0.3333 0.6667 0.5000
Al 0.4215 0.4215 0.0000
Al 0.5785 0.0000 0.0000
Al 0.6667 0.3333 0.5000
Al 0.7140 0.0000 0.2106
Al 0.7140 0.0000 0.7894

Most intense lines, 2θ = 5–70°, low angle first:
| two_theta | I/Imax |
| --- | --- |
| 19.41 | 19 |
| 20.98 | 15 |
| 29.84 | 15 |
| 30.91 | 100 |
| 32.96 | 15 |
| 33.95 | 43 |
| 48.77 | 13 |
| 50.90 | 11 |
| 52.96 | 12 |
| 56.29 | 11 |



Entry 6:
Calculated X-ray powder pattern
Compound: La3Al11
Radiation: Cu Kα, 1.54184 Å
Structure: the GGA-PBE geometry in Alexandria
Lines closer than 0.1° are merged.

Atomic structure:
Unit cell a=8.6000 b=8.6000 c=8.6000 alpha=150.12 beta=108.04 gamma=79.82
Positions (direct):
La 0.0000 0.0000 0.0000
La 0.3164 0.3164 0.0000
La 0.6836 0.6836 0.0000
Al 0.0330 0.6655 0.3675
Al 0.1372 0.8627 0.2745
Al 0.2839 0.5000 0.7839
Al 0.2980 0.6655 0.6325
Al 0.4118 0.1373 0.2745
Al 0.5000 0.0000 0.5000
Al 0.5882 0.8627 0.7255
Al 0.7020 0.3345 0.3675
Al 0.7161 0.5000 0.2161
Al 0.8628 0.1373 0.7255
Al 0.9670 0.3345 0.6325

Most intense lines, 2θ = 5–70°, low angle first:
| two_theta | I/Imax |
| --- | --- |
| 17.55 | 29 |
| 21.89 | 45 |
| 22.04 | 42 |
| 28.59 | 38 |
| 33.41 | 40 |
| 33.51 | 34 |
| 33.74 | 100 |
| 40.69 | 24 |
| 41.05 | 17 |
| 53.70 | 17 |



> Which formula does entry 6 have?

La3Al11